Structure and calculated powder XRD pattern of Na2Hg2TeSe2 (a structure optimized by DFT (PBE); copper Kα).

Atomic structure:
Unit cell a=4.328 b=6.984 c=7.778 alpha=66.73 beta=86.88 gamma=78.82
Sites, in units of the cell vectors:
Na 0.095 0.168 0.239
Na 0.905 0.832 0.761
Hg 0.264 0.619 0.298
Hg 0.736 0.381 0.702
Te 0.500 0.500 0.000
Se 0.278 0.201 0.608
Se 0.722 0.799 0.392

The 6 most intense peaks (2θ = 10–90°), most intense first:
hkl, 2theta, I_rel
0 1 0, 14.1, 100
1 2 0, 32.0, 50
0 1 -1, 22.2, 45
0 1 1, 14.6, 42
1 1 1, 23.6, 38
1 0 1, 24.7, 37